(1)
Ba6Y2Ru3PtO18: theoretical XRD peak list (copper Kα), based on DFT lattice parameters and positions (GGA-PBE).

Structural model:
Cell lengths 5.9709, 5.9709, 14.7824 Å; angles 90.00, 90.00, 120.00 degrees
Atoms (fractional coordinates):
Ba (0.0000, 0.0000, 0.0000)
Ba (0.0000, 0.0000, 0.3089)
Ba (0.3333, 0.6667, 0.1574)
Ba (0.3333, 0.6667, 0.6540)
Ba (0.6667, 0.3333, 0.4963)
Ba (0.6667, 0.3333, 0.8074)
Y (0.3333, 0.6667, 0.4049)
Y (0.3333, 0.6667, 0.9019)
Ru (0.0000, 0.0000, 0.5700)
Ru (0.0000, 0.0000, 0.7398)
Ru (0.6667, 0.3333, 0.0617)
Pt (0.6667, 0.3333, 0.2438)
O (0.1568, 0.3136, 0.4956)
O (0.1569, 0.3138, 0.8162)
O (0.1568, 0.8432, 0.4956)
O (0.1569, 0.8431, 0.8162)
O (0.3126, 0.1563, 0.6549)
O (0.3627, 0.1814, 0.1524)
O (0.5072, 0.0144, 0.3209)
O (0.5072, 0.4928, 0.3209)
O (0.5083, 0.0166, 0.9910)
O (0.5083, 0.4917, 0.9910)
O (0.6864, 0.8432, 0.4956)
O (0.6862, 0.8431, 0.8162)
O (0.8186, 0.1814, 0.1524)
O (0.8186, 0.6373, 0.1524)
O (0.8437, 0.1563, 0.6549)
O (0.8437, 0.6874, 0.6549)
O (0.9834, 0.4917, 0.9910)
O (0.9856, 0.4928, 0.3209)

Top 8 peaks for 2θ = 10–80°, by angle:
2θ/deg	d/Å	I/Imax
24.96	3.567	21.0
29.71	3.007	60.3
29.93	2.985	100.0
39.36	2.289	16.6
42.68	2.118	35.1
53.00	1.728	22.8
53.14	1.724	20.0
62.19	1.493	18.6

---

(2)
Ba3YRuPtO9: theoretical XRD peak list (copper Kα), based on DFT lattice parameters and positions (GGA-PBE).

Structural model:
Cell lengths 5.9619, 5.9619, 14.9752 Å; angles 90.00, 90.00, 120.00 degrees
Atoms (fractional coordinates):
Ba (0.0000, 0.0000, 0.2434)
Ba (0.0000, 0.0000, 0.7566)
Ba (0.3333, 0.6667, 0.0896)
Ba (0.3333, 0.6667, 0.4006)
Ba (0.6667, 0.3333, 0.5994)
Ba (0.6667, 0.3333, 0.9104)
Y (0.0000, 0.0000, 0.0000)
Y (0.0000, 0.0000, 0.5000)
Ru (0.3333, 0.6667, 0.6574)
Ru (0.6667, 0.3333, 0.3426)
Pt (0.3333, 0.6667, 0.8371)
Pt (0.6667, 0.3333, 0.1629)
O (0.0303, 0.5151, 0.7458)
O (0.1735, 0.3470, 0.9130)
O (0.1735, 0.8265, 0.9130)
O (0.1751, 0.3501, 0.5867)
O (0.1751, 0.8249, 0.5867)
O (0.3470, 0.1735, 0.0870)
O (0.3501, 0.1751, 0.4133)
O (0.4849, 0.5151, 0.7458)
O (0.4849, 0.9697, 0.7458)
O (0.5151, 0.0303, 0.2542)
O (0.5151, 0.4849, 0.2542)
O (0.6499, 0.8249, 0.5867)
O (0.6530, 0.8265, 0.9130)
O (0.8249, 0.1751, 0.4133)
O (0.8249, 0.6499, 0.4133)
O (0.8265, 0.1735, 0.0870)
O (0.8265, 0.6530, 0.0870)
O (0.9697, 0.4849, 0.2542)

Top 8 peaks for 2θ = 10–80°, by angle:
2θ/deg	d/Å	I/Imax
24.81	3.589	17.0
29.47	3.031	60.2
29.98	2.981	100.0
34.62	2.591	17.1
42.54	2.125	33.8
52.91	1.730	22.8
53.22	1.721	20.1
62.29	1.491	18.7

---

(3)
BaSm2PtO5: theoretical XRD peak list (copper Kα), based on DFT lattice parameters and positions (GGA-PBE).

Structural model:
Cell lengths 6.7443, 6.7443, 5.9786 Å; angles 90.00, 90.00, 90.00 degrees
Atoms (fractional coordinates):
Ba (0.0000, 0.0000, 0.0000)
Ba (0.5000, 0.5000, 0.0000)
Sm (0.1745, 0.3255, 0.5000)
Sm (0.3255, 0.8255, 0.5000)
Sm (0.6745, 0.1745, 0.5000)
Sm (0.8255, 0.6745, 0.5000)
Pt (0.0000, 0.5000, 0.0000)
Pt (0.5000, 0.0000, 0.0000)
O (0.0000, 0.0000, 0.5000)
O (0.1392, 0.6392, 0.2572)
O (0.1392, 0.6392, 0.7428)
O (0.3608, 0.1392, 0.2572)
O (0.3608, 0.1392, 0.7428)
O (0.5000, 0.5000, 0.5000)
O (0.6392, 0.8608, 0.2572)
O (0.6392, 0.8608, 0.7428)
O (0.8608, 0.3608, 0.2572)
O (0.8608, 0.3608, 0.7428)

Top 8 peaks for 2θ = 10–80°, by angle:
2θ/deg	d/Å	I/Imax
29.89	2.989	36.9
30.43	2.937	100.0
33.27	2.693	31.4
37.73	2.384	23.9
42.58	2.123	24.1
45.14	2.009	13.5
48.86	1.864	22.3
53.40	1.716	20.9

---

(4)
Ba6Ti5PtO18: theoretical XRD peak list (copper Kα), based on DFT lattice parameters and positions (GGA-PBE).

Structural model:
Cell lengths 5.7913, 5.7913, 14.2470 Å; angles 90.00, 90.00, 120.00 degrees
Atoms (fractional coordinates):
Ba (0.0000, 0.0000, 0.0000)
Ba (0.0000, 0.0000, 0.3076)
Ba (0.3333, 0.6667, 0.1536)
Ba (0.3333, 0.6667, 0.6536)
Ba (0.6667, 0.3333, 0.4967)
Ba (0.6667, 0.3333, 0.8092)
Ti (0.0000, 0.0000, 0.5515)
Ti (0.3333, 0.6667, 0.3978)
Ti (0.3333, 0.6667, 0.9007)
Ti (0.6667, 0.3333, 0.0541)
Ti (0.6667, 0.3333, 0.2441)
Pt (0.0000, 0.0000, 0.7484)
O (0.0058, 0.5029, 0.3282)
O (0.1659, 0.3319, 0.4879)
O (0.1659, 0.8341, 0.4879)
O (0.1711, 0.3422, 0.8316)
O (0.1711, 0.8289, 0.8316)
O (0.3025, 0.1512, 0.6563)
O (0.3682, 0.1841, 0.1600)
O (0.4971, 0.5029, 0.3282)
O (0.4971, 0.9942, 0.3282)
O (0.5005, 0.0011, 0.9910)
O (0.5005, 0.4995, 0.9910)
O (0.6578, 0.8289, 0.8316)
O (0.6681, 0.8341, 0.4879)
O (0.8159, 0.1841, 0.1600)
O (0.8159, 0.6318, 0.1600)
O (0.8488, 0.1512, 0.6563)
O (0.8488, 0.6975, 0.6563)
O (0.9989, 0.4995, 0.9910)

Top 8 peaks for 2θ = 10–80°, by angle:
2θ/deg	d/Å	I/Imax
25.84	3.448	19.4
30.84	2.899	100.0
40.69	2.218	14.3
44.17	2.050	23.2
48.30	1.884	12.6
54.89	1.673	27.2
58.43	1.579	9.2
64.34	1.448	11.7

---

(5)
Ba4Ti2PtO10: theoretical XRD peak list (copper Kα), based on DFT lattice parameters and positions (GGA-PBE).

Structural model:
Cell lengths 7.3962, 7.3962, 13.3186 Å; angles 90.00, 90.00, 133.41 degrees
Atoms (fractional coordinates):
Ba (0.0292, 0.9708, 0.8579)
Ba (0.2344, 0.7656, 0.6002)
Ba (0.2656, 0.7344, 0.1002)
Ba (0.4708, 0.5292, 0.3579)
Ba (0.5292, 0.4708, 0.6421)
Ba (0.7344, 0.2656, 0.8998)
Ba (0.7656, 0.2344, 0.3998)
Ba (0.9708, 0.0292, 0.1421)
Ti (0.1388, 0.8612, 0.3447)
Ti (0.3612, 0.6388, 0.8447)
Ti (0.6388, 0.3612, 0.1553)
Ti (0.8612, 0.1388, 0.6553)
Pt (0.0000, 0.0000, 0.5000)
Pt (0.5000, 0.5000, 0.0000)
O (0.0361, 0.9639, 0.6513)
O (0.1170, 0.3341, 0.5399)
O (0.1222, 0.3778, 0.7500)
O (0.1659, 0.3830, 0.9601)
O (0.2297, 0.7703, 0.8590)
O (0.2703, 0.7297, 0.3590)
O (0.3341, 0.1170, 0.4601)
O (0.3778, 0.1222, 0.2500)
O (0.3830, 0.1659, 0.0399)
O (0.4639, 0.5361, 0.1513)
O (0.5361, 0.4639, 0.8487)
O (0.6170, 0.8341, 0.9601)
O (0.6222, 0.8778, 0.7500)
O (0.6659, 0.8830, 0.5399)
O (0.7297, 0.2703, 0.6410)
O (0.7703, 0.2297, 0.1410)
O (0.8341, 0.6170, 0.0399)
O (0.8778, 0.6222, 0.2500)
O (0.8830, 0.6659, 0.4601)
O (0.9639, 0.0361, 0.3487)

Top 8 peaks for 2θ = 10–80°, by angle:
2θ/deg	d/Å	I/Imax
13.30	6.659	33.4
26.04	3.422	89.6
26.24	3.397	48.6
28.30	3.154	92.2
30.57	2.925	83.8
32.11	2.787	100.0
40.71	2.217	60.9
53.55	1.711	32.4

---

(6)
Ba4Ti3PtO12: theoretical XRD peak list (copper Kα), based on DFT lattice parameters and positions (GGA-PBE).

Structural model:
Cell lengths 5.7864, 5.7864, 28.4584 Å; angles 90.00, 90.00, 120.00 degrees
Atoms (fractional coordinates):
Ba (0.0000, 0.0000, 0.0000)
Ba (0.0000, 0.0000, 0.1542)
Ba (0.0000, 0.0000, 0.4994)
Ba (0.0000, 0.0000, 0.6578)
Ba (0.3333, 0.6667, 0.0769)
Ba (0.3333, 0.6667, 0.3253)
Ba (0.3333, 0.6667, 0.5800)
Ba (0.3333, 0.6667, 0.8253)
Ba (0.6667, 0.3333, 0.2476)
Ba (0.6667, 0.3333, 0.4047)
Ba (0.6667, 0.3333, 0.7469)
Ba (0.6667, 0.3333, 0.9049)
Ti (0.0000, 0.0000, 0.3771)
Ti (0.0000, 0.0000, 0.8773)
Ti (0.3333, 0.6667, 0.2024)
Ti (0.3333, 0.6667, 0.4532)
Ti (0.3333, 0.6667, 0.7030)
Ti (0.3333, 0.6667, 0.9531)
Ti (0.6667, 0.3333, 0.0303)
Ti (0.6667, 0.3333, 0.1256)
Ti (0.6667, 0.3333, 0.5286)
Pt (0.0000, 0.0000, 0.2808)
Pt (0.0000, 0.0000, 0.7816)
Pt (0.6667, 0.3333, 0.6216)
O (0.0008, 0.5004, 0.1604)
O (0.0026, 0.5013, 0.4907)
O (0.0037, 0.5018, 0.9913)
O (0.0062, 0.5031, 0.6615)
O (0.1668, 0.3335, 0.4115)
O (0.1669, 0.3338, 0.9115)
O (0.1668, 0.8332, 0.4115)
O (0.1669, 0.8331, 0.9115)
O (0.1706, 0.3411, 0.2401)
O (0.1710, 0.3419, 0.7408)
O (0.1706, 0.8294, 0.2401)
O (0.1710, 0.8290, 0.7408)
O (0.3035, 0.1518, 0.3277)
O (0.3040, 0.1520, 0.8279)
O (0.3610, 0.1805, 0.5741)
O (0.3697, 0.1848, 0.0759)
O (0.4969, 0.5031, 0.6615)
O (0.4969, 0.9938, 0.6615)
O (0.4982, 0.5018, 0.9913)
O (0.4982, 0.9963, 0.9913)
O (0.4987, 0.5013, 0.4907)
O (0.4987, 0.9974, 0.4907)
O (0.4996, 0.5004, 0.1604)
O (0.4996, 0.9992, 0.1604)
O (0.6581, 0.8290, 0.7408)
O (0.6589, 0.8294, 0.2401)
O (0.6665, 0.8332, 0.4115)
O (0.6662, 0.8331, 0.9115)
O (0.8152, 0.1848, 0.0759)
O (0.8152, 0.6303, 0.0759)
O (0.8195, 0.1805, 0.5741)
O (0.8195, 0.6390, 0.5741)
O (0.8482, 0.1518, 0.3277)
O (0.8480, 0.1520, 0.8279)
O (0.8482, 0.6965, 0.3277)
O (0.8480, 0.6960, 0.8279)

Top 8 peaks for 2θ = 10–80°, by angle:
2θ/deg	d/Å	I/Imax
25.86	3.445	17.3
30.88	2.896	100.0
36.32	2.474	11.5
40.73	2.215	13.0
44.21	2.048	21.9
48.36	1.882	14.8
54.94	1.671	27.0
64.41	1.447	12.0